(1)
The following is a calculated powder XRD pattern of Li2CeSbSe4. It was derived from a GGA-PBE-relaxed structure, using Cu Kα.
Lines closer than 0.1° are merged.

Main lines, low angle first (5° ≤ 2θ ≤ 70°):
2θ = 17.1°, d 5.191, I 67; 2θ = 27.8°, d 3.214, I 24; 2θ = 30.8°, d 2.904, I 91; 2θ = 30.9°, d 2.895, I 45; 2θ = 44.2°, d 2.051, I 100; 2θ = 54.8°, d 1.675, I 35

```
Li2CeSbSe4
1.0
-2.904 2.904 5.789
2.904 -2.904 5.789
2.904 2.904 -5.789
Li Ce Sb Se
2 1 1 4
Direct
0.000 0.000 0.000
0.750 0.250 0.500
0.250 0.750 0.500
0.500 0.500 0.000
0.251 0.251 0.000
0.504 0.004 0.500
0.749 0.749 0.000
0.996 0.496 0.500
```

***

(2)
The following is a calculated powder XRD pattern of LiCe2ScTl4. It was derived from a GGA-PBE-relaxed structure, using Cu Kα.
Lines closer than 0.1° are merged.

Main lines, low angle first (5° ≤ 2θ ≤ 70°):
2θ = 23.7°, d 3.752, I 41; 2θ = 33.6°, d 2.666, I 100; 2θ = 33.9°, d 2.641, I 98; 2θ = 48.5°, d 1.876, I 36; 2θ = 59.9°, d 1.544, I 19; 2θ = 60.5°, d 1.529, I 37

```
LiCe2ScTl4
1.0
2.641 1.525 8.748
-2.641 1.525 8.748
0.000 -3.049 8.748
Li Ce Sc Tl
1 2 1 4
Direct
0.000 0.000 0.000
0.252 0.252 0.252
0.748 0.748 0.748
0.500 0.500 0.500
0.124 0.124 0.124
0.374 0.374 0.374
0.626 0.626 0.626
0.876 0.876 0.876
```

***

(3)
The following is a calculated powder XRD pattern of Li2Ce3Se6. It was derived from a GGA-PBE-relaxed structure, using Cu Kα.
Lines closer than 0.1° are merged.

Main lines, low angle first (5° ≤ 2θ ≤ 70°):
2θ = 13.9°, d 6.376, I 44; 2θ = 24.6°, d 3.617, I 35; 2θ = 30.6°, d 2.918, I 100; 2θ = 42.5°, d 2.127, I 43; 2θ = 45.2°, d 2.004, I 22; 2θ = 53.3°, d 1.719, I 21

```
Li2Ce3Se6
1.0
3.684 -6.382 0.000
3.684 6.382 0.000
-2.433 0.000 6.376
Li Ce Se
2 3 6
Direct
0.169 0.831 0.000
0.831 0.169 0.000
0.000 0.000 0.500
0.336 0.664 0.500
0.664 0.336 0.500
0.075 0.416 0.749
0.243 0.243 0.247
0.416 0.075 0.749
0.584 0.925 0.251
0.757 0.757 0.753
0.925 0.584 0.251
```

***

(4)
The following is a calculated powder XRD pattern of Li4Ce3Se8. It was derived from a GGA-PBE-relaxed structure, using Cu Kα.
Lines closer than 0.1° are merged.

Main lines, low angle first (5° ≤ 2θ ≤ 70°):
2θ = 13.0°, d 6.803, I 66; 2θ = 25.1°, d 3.543, I 33; 2θ = 30.4°, d 2.940, I 100; 2θ = 43.5°, d 2.082, I 37; 2θ = 43.6°, d 2.076, I 39; 2θ = 54.1°, d 1.696, I 19

```
Li4Ce3Se8
1.0
4.153 2.398 6.807
-4.153 2.398 6.807
0.000 -4.795 6.807
Li Ce Se
4 3 8
Direct
0.000 0.000 0.000
0.134 0.134 0.134
0.500 0.500 0.500
0.866 0.866 0.866
0.000 0.500 0.500
0.500 0.000 0.500
0.500 0.500 0.000
0.247 0.247 0.739
0.247 0.739 0.247
0.257 0.257 0.257
0.261 0.753 0.753
0.739 0.247 0.247
0.743 0.743 0.743
0.753 0.261 0.753
0.753 0.753 0.261
```

***

(5)
The following is a calculated powder XRD pattern of LiCe2ZrSe5. It was derived from a GGA-PBE-relaxed structure, using Cu Kα.
Lines closer than 0.1° are merged.

Main lines, low angle first (5° ≤ 2θ ≤ 70°):
2θ = 31.6°, d 2.834, I 100; 2θ = 32.0°, d 2.795, I 33; 2θ = 34.1°, d 2.627, I 20; 2θ = 37.3°, d 2.413, I 45; 2θ = 38.4°, d 2.347, I 18; 2θ = 44.6°, d 2.030, I 39

```
LiCe2ZrSe5
1.0
2.029 -8.615 0.000
2.029 8.615 0.000
0.000 0.000 12.198
Li Ce Zr Se
2 4 2 10
Direct
0.054 0.946 0.500
0.946 0.054 0.000
0.370 0.630 0.352
0.391 0.609 0.735
0.609 0.391 0.235
0.630 0.370 0.852
0.303 0.697 0.060
0.697 0.303 0.560
0.005 0.995 0.820
0.142 0.858 0.048
0.190 0.810 0.404
0.215 0.785 0.713
0.450 0.550 0.108
0.550 0.450 0.608
0.785 0.215 0.213
0.810 0.190 0.904
0.858 0.142 0.548
0.995 0.005 0.320
```

***

(6)
The following is a calculated powder XRD pattern of Li4CeSi4. It was derived from a GGA-PBE-relaxed structure, using Cu Kα.
Lines closer than 0.1° are merged.

Main lines, low angle first (5° ≤ 2θ ≤ 70°):
2θ = 18.1°, d 4.900, I 100; 2θ = 21.1°, d 4.220, I 24; 2θ = 29.7°, d 3.009, I 63; 2θ = 29.9°, d 2.984, I 24; 2θ = 34.8°, d 2.580, I 40; 2θ = 35.2°, d 2.549, I 74

```
Li4CeSi4
1.0
5.969 0.000 0.000
0.000 5.969 0.000
0.000 0.000 8.583
Li Ce Si
8 2 8
Direct
0.005 0.250 0.156
0.250 0.005 0.656
0.250 0.495 0.656
0.495 0.250 0.156
0.505 0.750 0.844
0.750 0.505 0.344
0.750 0.995 0.344
0.995 0.750 0.844
0.250 0.750 0.250
0.750 0.250 0.750
0.055 0.250 0.454
0.250 0.055 0.954
0.250 0.445 0.954
0.445 0.250 0.454
0.555 0.750 0.546
0.750 0.555 0.046
0.750 0.945 0.046
0.945 0.750 0.546
```